Starting from DFT lattice parameters and positions (GGA-PBE), the powder XRD pattern of ZnS2 was calculated for λ = 1.5418 Å (Cu Kα).
Kinematic intensities with the Lorentz-polarization factor, no thermal factor.

Principal peaks in the range 10° ≤ 2θ ≤ 90°, in order of falling intensity:
- (2 0 0), 29.78°, 3.000 Å, I = 100
- (3 1 1), 50.44°, 1.809 Å, I = 74
- (2 2 0), 42.62°, 2.121 Å, I = 52
- (5 1 1), 83.76°, 1.155 Å, I = 32
- (1 1 1), 25.72°, 3.464 Å, I = 28
- (2 1 0), 33.39°, 2.683 Å, I = 24
- (2 1 1), 36.69°, 2.450 Å, I = 23
- (3 3 1), 68.11°, 1.377 Å, I = 18
- (2 2 2), 52.85°, 1.732 Å, I = 16
- (3 2 1), 57.47°, 1.604 Å, I = 15

Crystal structure
a b c (Å): 6.0004 6.0004 6.0004
angles (deg): 90.00 90.00 90.00
Element x y z (fractional)
1 Zn 0.0000 0.0000 0.0000
2 Zn 0.0000 0.5000 0.5000
3 Zn 0.5000 0.0000 0.5000
4 Zn 0.5000 0.5000 0.0000
5 S 0.1001 0.6001 0.8999
6 S 0.1001 0.8999 0.3999
7 S 0.3999 0.1001 0.8999
8 S 0.3999 0.3999 0.3999
9 S 0.6001 0.6001 0.6001
10 S 0.6001 0.8999 0.1001
11 S 0.8999 0.1001 0.6001
12 S 0.8999 0.3999 0.1001